For Sm2Zr2O7, a PBE-relaxed structure gives the calculated powder XRD pattern in this record (λ = 1.5418 Å (Cu Kα)).
Peak positions follow from Bragg's law for the DFT cell and can differ from measured ones.

Principal peaks in the range 10° ≤ 2θ ≤ 80°, by angle:
2θ = 26.19°, d = 3.402 Å, intensity 86, (0 2 1)
2θ = 27.08°, d = 3.293 Å, intensity 24, (2 1 -1)
2θ = 29.05°, d = 3.073 Å, intensity 100, (2 1 -2)
2θ = 29.50°, d = 3.028 Å, intensity 56, (0 0 4)
2θ = 32.69°, d = 2.740 Å, intensity 55, (2 1 2)
2θ = 33.65°, d = 2.663 Å, intensity 32, (0 2 3)
2θ = 46.79°, d = 1.942 Å, intensity 22, (2 3 1)
2θ = 49.66°, d = 1.836 Å, intensity 27, (2 1 -6)

Crystal structure
a = 7.5244 Å, b = 7.0860 Å, c = 12.2617 Å
α = 90.00°, β = 98.93°, γ = 90.00°
Positions (direct):
Sm1 0.0225 0.1137 0.3621
Sm2 0.0225 0.3863 0.8621
Sm3 0.2497 0.1743 0.1146
Sm4 0.2497 0.3257 0.6146
Sm5 0.7503 0.6743 0.3854
Sm6 0.7503 0.8257 0.8854
Sm7 0.9775 0.6137 0.1379
Sm8 0.9775 0.8863 0.6379
Zr1 0.2484 0.6422 0.3976
Zr2 0.2484 0.8578 0.8976
Zr3 0.4445 0.6084 0.1124
Zr4 0.4445 0.8916 0.6124
Zr5 0.5555 0.1084 0.3876
Zr6 0.5555 0.3916 0.8876
Zr7 0.7516 0.1422 0.1024
Zr8 0.7516 0.3578 0.6024
O1 0.0223 0.7287 0.8254
O2 0.0223 0.7713 0.3254
O3 0.1251 0.1001 0.9306
O4 0.1251 0.3999 0.4306
O5 0.1883 0.0134 0.5314
O6 0.1883 0.4866 0.0314
O7 0.3046 0.1073 0.3003
O8 0.3046 0.3927 0.8003
O9 0.3176 0.5632 0.2496
O10 0.3176 0.9368 0.7496
O11 0.3232 0.6319 0.5761
O12 0.3232 0.8681 0.0761
O13 0.4896 0.6810 0.9370
O14 0.4896 0.8190 0.4370
O15 0.5104 0.1810 0.5630
O16 0.5104 0.3190 0.0630
O17 0.6768 0.1319 0.9239
O18 0.6768 0.3681 0.4239
O19 0.6824 0.0632 0.2504
O20 0.6824 0.4368 0.7504
O21 0.6954 0.6073 0.1997
O22 0.6954 0.8927 0.6997
O23 0.8117 0.5134 0.9686
O24 0.8117 0.9866 0.4686
O25 0.8749 0.6001 0.5694
O26 0.8749 0.8999 0.0694
O27 0.9777 0.2287 0.6746
O28 0.9777 0.2713 0.1746


For Sn2O, a PBE-relaxed structure gives the calculated powder XRD pattern in this record (λ = 1.5418 Å (Cu Kα)).
Peak positions follow from Bragg's law for the DFT cell and can differ from measured ones.

Principal peaks in the range 10° ≤ 2θ ≤ 80°, by angle:
2θ = 21.22°, d = 4.188 Å, intensity 68, (0 0 2)
2θ = 27.67°, d = 3.224 Å, intensity 100, (1 0 0)
2θ = 35.13°, d = 2.555 Å, intensity 79, (1 0 2)
2θ = 39.53°, d = 2.280 Å, intensity 39, (1 1 0)
2θ = 45.29°, d = 2.002 Å, intensity 40, (1 1 2)
2θ = 52.08°, d = 1.756 Å, intensity 31, (1 0 4)
2θ = 59.99°, d = 1.542 Å, intensity 20, (1 1 4)
2θ = 68.87°, d = 1.363 Å, intensity 25, (2 1 2)

Crystal structure
a = 3.2241 Å, b = 3.2241 Å, c = 8.3752 Å
α = 90.00°, β = 90.00°, γ = 90.00°
Positions (direct):
Sn1 0.0000 0.0000 0.2351
Sn2 0.0000 0.0000 0.7649
O1 0.0000 0.0000 0.0000


Repeat the first record exactly.
For Sm2Zr2O7, a PBE-relaxed structure gives the calculated powder XRD pattern in this record (λ = 1.5418 Å (Cu Kα)).
Peak positions follow from Bragg's law for the DFT cell and can differ from measured ones.

Principal peaks in the range 10° ≤ 2θ ≤ 80°, by angle:
2θ = 26.19°, d = 3.402 Å, intensity 86, (0 2 1)
2θ = 27.08°, d = 3.293 Å, intensity 24, (2 1 -1)
2θ = 29.05°, d = 3.073 Å, intensity 100, (2 1 -2)
2θ = 29.50°, d = 3.028 Å, intensity 56, (0 0 4)
2θ = 32.69°, d = 2.740 Å, intensity 55, (2 1 2)
2θ = 33.65°, d = 2.663 Å, intensity 32, (0 2 3)
2θ = 46.79°, d = 1.942 Å, intensity 22, (2 3 1)
2θ = 49.66°, d = 1.836 Å, intensity 27, (2 1 -6)

Crystal structure
a = 7.5244 Å, b = 7.0860 Å, c = 12.2617 Å
α = 90.00°, β = 98.93°, γ = 90.00°
Positions (direct):
Sm1 0.0225 0.1137 0.3621
Sm2 0.0225 0.3863 0.8621
Sm3 0.2497 0.1743 0.1146
Sm4 0.2497 0.3257 0.6146
Sm5 0.7503 0.6743 0.3854
Sm6 0.7503 0.8257 0.8854
Sm7 0.9775 0.6137 0.1379
Sm8 0.9775 0.8863 0.6379
Zr1 0.2484 0.6422 0.3976
Zr2 0.2484 0.8578 0.8976
Zr3 0.4445 0.6084 0.1124
Zr4 0.4445 0.8916 0.6124
Zr5 0.5555 0.1084 0.3876
Zr6 0.5555 0.3916 0.8876
Zr7 0.7516 0.1422 0.1024
Zr8 0.7516 0.3578 0.6024
O1 0.0223 0.7287 0.8254
O2 0.0223 0.7713 0.3254
O3 0.1251 0.1001 0.9306
O4 0.1251 0.3999 0.4306
O5 0.1883 0.0134 0.5314
O6 0.1883 0.4866 0.0314
O7 0.3046 0.1073 0.3003
O8 0.3046 0.3927 0.8003
O9 0.3176 0.5632 0.2496
O10 0.3176 0.9368 0.7496
O11 0.3232 0.6319 0.5761
O12 0.3232 0.8681 0.0761
O13 0.4896 0.6810 0.9370
O14 0.4896 0.8190 0.4370
O15 0.5104 0.1810 0.5630
O16 0.5104 0.3190 0.0630
O17 0.6768 0.1319 0.9239
O18 0.6768 0.3681 0.4239
O19 0.6824 0.0632 0.2504
O20 0.6824 0.4368 0.7504
O21 0.6954 0.6073 0.1997
O22 0.6954 0.8927 0.6997
O23 0.8117 0.5134 0.9686
O24 0.8117 0.9866 0.4686
O25 0.8749 0.6001 0.5694
O26 0.8749 0.8999 0.0694
O27 0.9777 0.2287 0.6746
O28 0.9777 0.2713 0.1746


Q: Which formula does entry 1 have?
A: Sm2Zr2O7